Tl3CdAs2: calculated X-ray diffraction stick pattern (copper Kα), based on a structure optimized by DFT (PBE).
Kinematic intensities with the Lorentz-polarization factor, no thermal factor.

Principal peaks in the range 10° ≤ 2θ ≤ 80°, low angle first:
| 2θ/deg | Rel. int. |
| --- | --- |
| 28.68 | 81.6 |
| 28.98 | 80.3 |
| 30.41 | 90.6 |
| 35.66 | 41.7 |
| 35.90 | 42.3 |
| 36.33 | 25.4 |
| 37.32 | 100.0 |
| 41.03 | 24.5 |
| 49.06 | 24.6 |
| 53.07 | 34.6 |

Crystal structure
a = 8.846 Å, b = 8.846 Å, c = 8.846 Å
α = 134.39°, β = 66.03°, γ = 134.97°
Element x y z (fractional)
Tl 0.181 0.736 0.917
Tl 0.250 0.250 0.000
Tl 0.319 0.236 0.555
Tl 0.681 0.764 0.445
Tl 0.750 0.750 0.000
Tl 0.819 0.264 0.083
Cd 0.250 0.750 0.500
Cd 0.750 0.250 0.500
As 0.113 0.276 0.389
As 0.387 0.776 0.163
As 0.613 0.224 0.837
As 0.887 0.724 0.611

***

LaPm2F8: calculated X-ray diffraction stick pattern (copper Kα), based on a structure optimized by DFT (PBE).
Kinematic intensities with the Lorentz-polarization factor, no thermal factor.

Principal peaks in the range 10° ≤ 2θ ≤ 80°, low angle first:
| 2θ/deg | Rel. int. |
| --- | --- |
| 23.40 | 89.8 |
| 23.92 | 76.9 |
| 28.41 | 100.0 |
| 30.12 | 75.1 |
| 30.55 | 32.7 |
| 43.14 | 51.0 |
| 43.74 | 46.6 |
| 46.70 | 33.3 |
| 47.27 | 25.7 |
| 48.93 | 38.6 |

Crystal structure
a = 8.081 Å, b = 8.081 Å, c = 5.853 Å
α = 110.01°, β = 110.01°, γ = 26.65°
Element x y z (fractional)
La 0.000 0.000 0.000
Pm 0.319 0.319 0.317
Pm 0.681 0.681 0.683
F 0.102 0.102 0.446
F 0.182 0.182 0.959
F 0.280 0.280 0.672
F 0.450 0.450 0.228
F 0.550 0.550 0.772
F 0.720 0.720 0.328
F 0.818 0.818 0.041
F 0.898 0.898 0.554

***

Pr4Y5Pu: calculated X-ray diffraction stick pattern (copper Kα), based on a structure optimized by DFT (PBE).
Kinematic intensities with the Lorentz-polarization factor, no thermal factor.

Principal peaks in the range 10° ≤ 2θ ≤ 80°, low angle first:
| 2θ/deg | Rel. int. |
| --- | --- |
| 11.49 | 28.4 |
| 23.33 | 16.5 |
| 24.35 | 24.5 |
| 30.26 | 21.9 |
| 30.81 | 48.9 |
| 32.81 | 100.0 |
| 34.05 | 12.3 |
| 34.88 | 15.9 |
| 47.22 | 17.9 |
| 56.07 | 21.6 |

Crystal structure
a = 10.296 Å, b = 11.608 Å, c = 5.803 Å
α = 90.00°, β = 90.00°, γ = 90.00°
Element x y z (fractional)
Pr 0.035 0.250 0.250
Pr 0.250 0.568 0.750
Pr 0.250 0.932 0.750
Pr 0.465 0.250 0.250
Pr 0.535 0.750 0.750
Pr 0.750 0.068 0.250
Pr 0.750 0.432 0.250
Pr 0.965 0.750 0.750
Y 0.060 0.557 0.250
Y 0.060 0.943 0.250
Y 0.250 0.250 0.750
Y 0.440 0.557 0.250
Y 0.440 0.943 0.250
Y 0.560 0.057 0.750
Y 0.560 0.443 0.750
Y 0.750 0.750 0.250
Y 0.940 0.057 0.750
Y 0.940 0.443 0.750
Pu 0.250 0.750 0.248
Pu 0.750 0.250 0.752

***

PuBeInO6: calculated X-ray diffraction stick pattern (copper Kα), based on a structure optimized by DFT (PBE).
Kinematic intensities with the Lorentz-polarization factor, no thermal factor.

Principal peaks in the range 10° ≤ 2θ ≤ 80°, low angle first:
| 2θ/deg | Rel. int. |
| --- | --- |
| 22.43 | 100.0 |
| 27.80 | 94.0 |
| 35.10 | 36.2 |
| 35.62 | 41.2 |
| 42.50 | 22.5 |
| 45.77 | 23.6 |
| 53.09 | 43.8 |
| 56.61 | 19.2 |
| 59.31 | 22.2 |
| 63.97 | 14.6 |

Crystal structure
a = 5.042 Å, b = 5.042 Å, c = 9.463 Å
α = 90.00°, β = 90.00°, γ = 120.00°
Element x y z (fractional)
Pu 0.333 0.667 0.250
Pu 0.667 0.333 0.750
Be 0.333 0.667 0.750
Be 0.667 0.333 0.250
In 0.000 0.000 0.000
In 0.000 0.000 0.500
O 0.019 0.362 0.638
O 0.019 0.657 0.862
O 0.343 0.362 0.862
O 0.343 0.981 0.638
O 0.362 0.019 0.138
O 0.362 0.343 0.362
O 0.638 0.657 0.638
O 0.638 0.981 0.862
O 0.657 0.019 0.362
O 0.657 0.638 0.138
O 0.981 0.343 0.138
O 0.981 0.638 0.362